This entry pairs a crystal structure of CsZnN with its simulated XRD peak list. Radiation: Cu Kα, 1.54184 Å. Structure: a crystal structure in the Materials Project, relaxed with GGA-PBE.
Peak positions follow from Bragg's law for the DFT cell and can differ from measured ones.

Cell and atoms:
```
data_CsZnN
_chemical_formula_sum 'Cs4 Zn4 N4'
_symmetry_space_group_name_H-M 'P 1'
_symmetry_Int_Tables_number 1
_cell_length_a 12.066
_cell_length_b 3.613
_cell_length_c 6.767
_cell_angle_alpha 90.00
_cell_angle_beta 90.00
_cell_angle_gamma 90.00
loop_
_symmetry_equiv_pos_as_xyz
'x,y,z'
loop_
_atom_site_label
_atom_site_type_symbol
_atom_site_fract_x
_atom_site_fract_y
_atom_site_fract_z
Cs1 Cs 0.156 0.250 0.055
Cs2 Cs 0.344 0.750 0.555
Cs3 Cs 0.656 0.250 0.445
Cs4 Cs 0.844 0.750 0.945
Zn1 Zn 0.056 0.250 0.596
Zn2 Zn 0.444 0.750 0.096
Zn3 Zn 0.556 0.250 0.904
Zn4 Zn 0.944 0.750 0.404
N1 N 0.081 0.750 0.679
N2 N 0.419 0.250 0.179
N3 N 0.581 0.750 0.821
N4 N 0.919 0.250 0.321
```

The 10 most intense peaks (5 to 70 degrees two-theta), in order of rising 2θ:
25.8°, d = 3.458 Å, intensity 100; 26.3°, d = 3.384 Å, intensity 29; 27.4°, d = 3.258 Å, intensity 37; 28.8°, d = 3.100 Å, intensity 81; 29.0°, d = 3.082 Å, intensity 47; 37.2°, d = 2.420 Å, intensity 34; 39.4°, d = 2.286 Å, intensity 39; 47.2°, d = 1.924 Å, intensity 54; 50.5°, d = 1.807 Å, intensity 30; 57.6°, d = 1.601 Å, intensity 21


This entry pairs a crystal structure of CsZnN with its simulated XRD peak list. Radiation: Cu Kα, 1.54184 Å. Structure: a crystal structure in the Materials Project, relaxed with GGA-PBE.
Peak positions follow from Bragg's law for the DFT cell and can differ from measured ones.

Cell and atoms:
```
data_CsZnN
_chemical_formula_sum 'Cs1 Zn1 N1'
_symmetry_space_group_name_H-M 'P 1'
_symmetry_Int_Tables_number 1
_cell_length_a 5.673
_cell_length_b 5.673
_cell_length_c 3.604
_cell_angle_alpha 90.00
_cell_angle_beta 90.00
_cell_angle_gamma 120.00
loop_
_symmetry_equiv_pos_as_xyz
'x,y,z'
loop_
_atom_site_label
_atom_site_type_symbol
_atom_site_fract_x
_atom_site_fract_y
_atom_site_fract_z
Cs1 Cs 0.000 0.000 0.000
Zn1 Zn 0.667 0.333 0.500
N1 N 0.667 0.333 0.000
```

The 10 most intense peaks (5 to 70 degrees two-theta), in order of rising 2θ:
18.1°, d = 4.913 Å, intensity 89; 30.8°, d = 2.906 Å, intensity 100; 31.5°, d = 2.837 Å, intensity 79; 36.6°, d = 2.457 Å, intensity 15; 44.6°, d = 2.030 Å, intensity 36; 49.1°, d = 1.857 Å, intensity 12; 54.2°, d = 1.692 Å, intensity 9; 55.7°, d = 1.651 Å, intensity 37; 56.2°, d = 1.638 Å, intensity 14; 60.9°, d = 1.521 Å, intensity 22


This entry pairs a crystal structure of CsNa3 with its simulated XRD peak list. Radiation: Cu Kα, 1.54184 Å. Structure: a crystal structure in the Materials Project, relaxed with GGA-PBE.
Peak positions follow from Bragg's law for the DFT cell and can differ from measured ones.

Cell and atoms:
```
data_CsNa3
_chemical_formula_sum 'Cs4 Na12'
_symmetry_space_group_name_H-M 'P 1'
_symmetry_Int_Tables_number 1
_cell_length_a 9.462
_cell_length_b 9.462
_cell_length_c 9.462
_cell_angle_alpha 90.00
_cell_angle_beta 90.00
_cell_angle_gamma 90.00
loop_
_symmetry_equiv_pos_as_xyz
'x,y,z'
loop_
_atom_site_label
_atom_site_type_symbol
_atom_site_fract_x
_atom_site_fract_y
_atom_site_fract_z
Cs1 Cs 0.000 0.000 0.000
Cs2 Cs 0.000 0.500 0.500
Cs3 Cs 0.500 0.000 0.500
Cs4 Cs 0.500 0.500 0.000
Na1 Na 0.000 0.000 0.500
Na2 Na 0.000 0.500 0.000
Na3 Na 0.250 0.250 0.250
Na4 Na 0.250 0.250 0.750
Na5 Na 0.250 0.750 0.250
Na6 Na 0.250 0.750 0.750
Na7 Na 0.500 0.000 0.000
Na8 Na 0.500 0.500 0.500
Na9 Na 0.750 0.250 0.250
Na10 Na 0.750 0.250 0.750
Na11 Na 0.750 0.750 0.250
Na12 Na 0.750 0.750 0.750
```

The 10 most intense peaks (5 to 70 degrees two-theta), in order of rising 2θ:
16.2°, d = 5.463 Å, intensity 57; 18.8°, d = 4.731 Å, intensity 31; 26.6°, d = 3.345 Å, intensity 100; 31.4°, d = 2.853 Å, intensity 35; 38.0°, d = 2.366 Å, intensity 19; 41.6°, d = 2.171 Å, intensity 16; 42.7°, d = 2.116 Å, intensity 15; 47.0°, d = 1.931 Å, intensity 41; 54.9°, d = 1.673 Å, intensity 13; 62.0°, d = 1.496 Å, intensity 17


This entry pairs a crystal structure of CsNa3PbO4 with its simulated XRD peak list. Radiation: Cu Kα, 1.54184 Å. Structure: a crystal structure in the Materials Project, relaxed with GGA-PBE.
Peak positions follow from Bragg's law for the DFT cell and can differ from measured ones.

Cell and atoms:
```
data_CsNa3PbO4
_chemical_formula_sum 'Cs4 Na12 Pb4 O16'
_symmetry_space_group_name_H-M 'P 1'
_symmetry_Int_Tables_number 1
_cell_length_a 6.865
_cell_length_b 8.850
_cell_length_c 11.802
_cell_angle_alpha 82.60
_cell_angle_beta 76.30
_cell_angle_gamma 79.42
loop_
_symmetry_equiv_pos_as_xyz
'x,y,z'
loop_
_atom_site_label
_atom_site_type_symbol
_atom_site_fract_x
_atom_site_fract_y
_atom_site_fract_z
Cs1 Cs 0.007 0.383 0.380
Cs2 Cs 0.042 0.142 0.126
Cs3 Cs 0.958 0.858 0.874
Cs4 Cs 0.993 0.617 0.620
Na1 Na 0.185 0.948 0.394
Na2 Na 0.187 0.443 0.897
Na3 Na 0.195 0.178 0.646
Na4 Na 0.429 0.043 0.876
Na5 Na 0.460 0.570 0.374
Na6 Na 0.481 0.326 0.114
Na7 Na 0.519 0.674 0.886
Na8 Na 0.540 0.430 0.626
Na9 Na 0.571 0.957 0.124
Na10 Na 0.805 0.822 0.354
Na11 Na 0.813 0.557 0.103
Na12 Na 0.815 0.052 0.606
Pb1 Pb 0.174 0.708 0.148
Pb2 Pb 0.439 0.796 0.632
Pb3 Pb 0.561 0.204 0.368
Pb4 Pb 0.826 0.292 0.852
O1 O 0.135 0.200 0.852
O2 O 0.169 0.712 0.327
O3 O 0.176 0.937 0.594
O4 O 0.189 0.490 0.088
O5 O 0.338 0.612 0.755
O6 O 0.374 0.841 0.033
O7 O 0.381 0.333 0.505
O8 O 0.393 0.112 0.274
O9 O 0.607 0.888 0.726
O10 O 0.619 0.667 0.495
O11 O 0.626 0.159 0.967
O12 O 0.662 0.388 0.245
O13 O 0.811 0.510 0.912
O14 O 0.824 0.063 0.406
O15 O 0.831 0.288 0.673
O16 O 0.865 0.800 0.148
```

The 10 most intense peaks (5 to 70 degrees two-theta), in order of rising 2θ:
15.6°, d = 5.694 Å, intensity 28; 17.8°, d = 4.977 Å, intensity 25; 18.2°, d = 4.879 Å, intensity 31; 19.4°, d = 4.584 Å, intensity 21; 20.5°, d = 4.331 Å, intensity 20; 30.1°, d = 2.965 Å, intensity 27; 30.4°, d = 2.942 Å, intensity 29; 31.3°, d = 2.856 Å, intensity 100; 31.4°, d = 2.850 Å, intensity 36; 46.5°, d = 1.954 Å, intensity 22


This entry pairs a crystal structure of CsNaSiO3 with its simulated XRD peak list. Radiation: Cu Kα, 1.54184 Å. Structure: a crystal structure in the Materials Project, relaxed with GGA-PBE.
Peak positions follow from Bragg's law for the DFT cell and can differ from measured ones.

Cell and atoms:
```
data_CsNaSiO3
_chemical_formula_sum 'Cs6 Na6 Si6 O18'
_symmetry_space_group_name_H-M 'P 1'
_symmetry_Int_Tables_number 1
_cell_length_a 8.603
_cell_length_b 8.603
_cell_length_c 8.603
_cell_angle_alpha 90.91
_cell_angle_beta 90.91
_cell_angle_gamma 90.91
loop_
_symmetry_equiv_pos_as_xyz
'x,y,z'
loop_
_atom_site_label
_atom_site_type_symbol
_atom_site_fract_x
_atom_site_fract_y
_atom_site_fract_z
Cs1 Cs 0.000 0.000 0.000
Cs2 Cs 0.161 0.658 0.658
Cs3 Cs 0.318 0.318 0.318
Cs4 Cs 0.658 0.161 0.658
Cs5 Cs 0.658 0.658 0.161
Cs6 Cs 0.674 0.674 0.674
Na1 Na 0.027 0.289 0.658
Na2 Na 0.027 0.658 0.289
Na3 Na 0.289 0.027 0.658
Na4 Na 0.289 0.658 0.027
Na5 Na 0.658 0.027 0.289
Na6 Na 0.658 0.289 0.027
Si1 Si 0.331 0.331 0.868
Si2 Si 0.331 0.868 0.331
Si3 Si 0.448 0.986 0.986
Si4 Si 0.868 0.331 0.331
Si5 Si 0.986 0.448 0.986
Si6 Si 0.986 0.986 0.448
O1 O 0.010 0.010 0.635
O2 O 0.010 0.635 0.010
O3 O 0.158 0.371 0.946
O4 O 0.158 0.946 0.371
O5 O 0.305 0.305 0.682
O6 O 0.305 0.682 0.305
O7 O 0.371 0.158 0.946
O8 O 0.371 0.946 0.158
O9 O 0.384 0.859 0.859
O10 O 0.457 0.457 0.933
O11 O 0.457 0.933 0.457
O12 O 0.635 0.010 0.010
O13 O 0.682 0.305 0.305
O14 O 0.859 0.384 0.859
O15 O 0.859 0.859 0.384
O16 O 0.933 0.457 0.457
O17 O 0.946 0.158 0.371
O18 O 0.946 0.371 0.158
```

The 10 most intense peaks (5 to 70 degrees two-theta), in order of rising 2θ:
23.3°, d = 3.822 Å, intensity 89; 29.1°, d = 3.066 Å, intensity 100; 31.2°, d = 2.867 Å, intensity 87; 36.8°, d = 2.444 Å, intensity 21; 43.2°, d = 2.094 Å, intensity 26; 47.6°, d = 1.911 Å, intensity 30; 48.3°, d = 1.886 Å, intensity 19; 51.6°, d = 1.770 Å, intensity 23; 57.4°, d = 1.606 Å, intensity 20; 65.1°, d = 1.433 Å, intensity 19


This entry pairs a crystal structure of CsNa3TiO4 with its simulated XRD peak list. Radiation: Cu Kα, 1.54184 Å. Structure: a crystal structure in the Materials Project, relaxed with GGA-PBE.
Peak positions follow from Bragg's law for the DFT cell and can differ from measured ones.

Cell and atoms:
```
data_CsNa3TiO4
_chemical_formula_sum 'Cs4 Na12 Ti4 O16'
_symmetry_space_group_name_H-M 'P 1'
_symmetry_Int_Tables_number 1
_cell_length_a 6.615
_cell_length_b 8.639
_cell_length_c 11.432
_cell_angle_alpha 82.68
_cell_angle_beta 76.15
_cell_angle_gamma 79.68
loop_
_symmetry_equiv_pos_as_xyz
'x,y,z'
loop_
_atom_site_label
_atom_site_type_symbol
_atom_site_fract_x
_atom_site_fract_y
_atom_site_fract_z
Cs1 Cs 0.033 0.380 0.374
Cs2 Cs 0.041 0.135 0.126
Cs3 Cs 0.959 0.865 0.874
Cs4 Cs 0.967 0.620 0.626
Na1 Na 0.183 0.446 0.896
Na2 Na 0.204 0.166 0.645
Na3 Na 0.205 0.943 0.396
Na4 Na 0.429 0.044 0.875
Na5 Na 0.461 0.570 0.375
Na6 Na 0.495 0.334 0.107
Na7 Na 0.505 0.666 0.893
Na8 Na 0.539 0.430 0.625
Na9 Na 0.571 0.956 0.125
Na10 Na 0.795 0.057 0.604
Na11 Na 0.796 0.834 0.355
Na12 Na 0.817 0.554 0.104
Ti1 Ti 0.165 0.715 0.145
Ti2 Ti 0.420 0.787 0.638
Ti3 Ti 0.580 0.213 0.362
Ti4 Ti 0.835 0.285 0.855
O1 O 0.112 0.202 0.855
O2 O 0.182 0.714 0.304
O3 O 0.183 0.916 0.603
O4 O 0.202 0.518 0.088
O5 O 0.331 0.623 0.747
O6 O 0.347 0.838 0.042
O7 O 0.413 0.310 0.495
O8 O 0.429 0.114 0.285
O9 O 0.571 0.886 0.715
O10 O 0.587 0.690 0.505
O11 O 0.653 0.162 0.958
O12 O 0.669 0.377 0.253
O13 O 0.798 0.482 0.912
O14 O 0.817 0.084 0.397
O15 O 0.818 0.286 0.696
O16 O 0.888 0.798 0.145
```

The 10 most intense peaks (5 to 70 degrees two-theta), in order of rising 2θ:
13.7°, d = 6.452 Å, intensity 63; 14.0°, d = 6.345 Å, intensity 54; 25.5°, d = 3.495 Å, intensity 42; 31.0°, d = 2.889 Å, intensity 48; 31.3°, d = 2.861 Å, intensity 73; 31.6°, d = 2.834 Å, intensity 36; 32.2°, d = 2.777 Å, intensity 100; 32.4°, d = 2.765 Å, intensity 69; 32.5°, d = 2.755 Å, intensity 71; 47.9°, d = 1.898 Å, intensity 26


This entry pairs a crystal structure of Cs3NaPb4 with its simulated XRD peak list. Radiation: Cu Kα, 1.54184 Å. Structure: a crystal structure in the Materials Project, relaxed with GGA-PBE.
Peak positions follow from Bragg's law for the DFT cell and can differ from measured ones.

Cell and atoms:
```
data_Cs3NaPb4
_chemical_formula_sum 'Cs6 Na2 Pb8'
_symmetry_space_group_name_H-M 'P 1'
_symmetry_Int_Tables_number 1
_cell_length_a 9.632
_cell_length_b 9.632
_cell_length_c 11.362
_cell_angle_alpha 90.00
_cell_angle_beta 90.00
_cell_angle_gamma 134.89
loop_
_symmetry_equiv_pos_as_xyz
'x,y,z'
loop_
_atom_site_label
_atom_site_type_symbol
_atom_site_fract_x
_atom_site_fract_y
_atom_site_fract_z
Cs1 Cs 0.112 0.888 0.554
Cs2 Cs 0.112 0.888 0.946
Cs3 Cs 0.267 0.733 0.250
Cs4 Cs 0.733 0.267 0.750
Cs5 Cs 0.888 0.112 0.054
Cs6 Cs 0.888 0.112 0.446
Na1 Na 0.500 0.500 0.000
Na2 Na 0.500 0.500 0.500
Pb1 Pb 0.227 0.323 0.750
Pb2 Pb 0.323 0.227 0.250
Pb3 Pb 0.328 0.672 0.614
Pb4 Pb 0.328 0.672 0.886
Pb5 Pb 0.672 0.328 0.114
Pb6 Pb 0.672 0.328 0.386
Pb7 Pb 0.677 0.773 0.750
Pb8 Pb 0.773 0.677 0.250
```

The 10 most intense peaks (5 to 70 degrees two-theta), in order of rising 2θ:
12.6°, d = 7.004 Å, intensity 100; 15.1°, d = 5.850 Å, intensity 39; 26.1°, d = 3.412 Å, intensity 64; 26.9°, d = 3.311 Å, intensity 98; 27.8°, d = 3.206 Å, intensity 53; 30.6°, d = 2.925 Å, intensity 52; 31.0°, d = 2.884 Å, intensity 75; 32.5°, d = 2.757 Å, intensity 68; 44.2°, d = 2.051 Å, intensity 48; 46.0°, d = 1.974 Å, intensity 40